No. 1
Diffraction record for SmGa3Pd. The powder X-ray diffraction pattern is calculated, not measured: it uses DFT lattice parameters and positions (PBE) and Cu Kα.
No peak broadening, texture or thermal motion is included.

Structure:
```
SmGa3Pd
1.0
-2.092 2.092 5.442
2.092 -2.092 5.442
2.092 2.092 -5.442
Sm Ga Pd
1 3 1
Direct
0.000 0.000 0.000
0.387 0.387 0.000
0.613 0.613 0.000
0.750 0.250 0.500
0.250 0.750 0.500
```

Principal peaks in the range 10° ≤ 2θ ≤ 90°, most intense first:
| 2theta | I (rel.) |
| --- | --- |
| 34.50 | 100 |
| 32.67 | 50 |
| 43.24 | 49 |
| 47.06 | 27 |
| 55.23 | 22 |
| 73.68 | 21 |
| 65.81 | 20 |
| 62.81 | 16 |
| 85.05 | 12 |
| 59.80 | 12 |

No. 2
Diffraction record for Sr2FeSI. The powder X-ray diffraction pattern is calculated, not measured: it uses DFT lattice parameters and positions (PBE) and Cu Kα.
No peak broadening, texture or thermal motion is included.

Structure:
```
Sr2FeSI
1.0
5.823 0.000 0.000
0.000 5.823 0.000
0.000 0.000 4.165
Sr Fe S I
2 1 1 1
Direct
0.000 0.500 0.000
0.500 0.000 0.000
0.000 0.000 0.000
0.000 0.000 0.500
0.500 0.500 0.500
```

Principal peaks in the range 10° ≤ 2θ ≤ 90°, most intense first:
| 2theta | I (rel.) |
| --- | --- |
| 30.71 | 100 |
| 30.53 | 99 |
| 26.31 | 43 |
| 54.15 | 38 |
| 54.48 | 38 |
| 43.98 | 36 |
| 40.87 | 27 |
| 72.58 | 24 |
| 63.55 | 23 |
| 88.58 | 19 |

No. 3
Diffraction record for Al4Ga5Ag2. The powder X-ray diffraction pattern is calculated, not measured: it uses DFT lattice parameters and positions (PBE) and Cu Kα.
No peak broadening, texture or thermal motion is included.

Structure:
```
Al4Ga5Ag2
1.0
-1.594 4.306 7.301
1.594 -4.306 7.301
1.594 4.306 -7.301
Al Ga Ag
4 5 2
Direct
0.087 0.087 0.000
0.244 0.500 0.744
0.756 0.500 0.256
0.913 0.913 0.000
0.013 0.691 0.322
0.368 0.691 0.678
0.500 0.000 0.500
0.632 0.309 0.322
0.987 0.309 0.678
0.335 0.335 0.000
0.665 0.665 0.000
```

Principal peaks in the range 10° ≤ 2θ ≤ 90°, most intense first:
| 2theta | I (rel.) |
| --- | --- |
| 33.61 | 100 |
| 44.24 | 94 |
| 12.12 | 61 |
| 36.33 | 51 |
| 42.38 | 51 |
| 41.96 | 48 |
| 11.93 | 36 |
| 36.93 | 35 |
| 31.77 | 29 |
| 38.94 | 29 |

No. 4
Diffraction record for La5Dy4Tm4. The powder X-ray diffraction pattern is calculated, not measured: it uses DFT lattice parameters and positions (PBE) and Cu Kα.
No peak broadening, texture or thermal motion is included.

Structure:
```
La5Dy4Tm4
1.0
-6.518 6.518 2.541
6.518 -6.518 2.541
6.518 6.518 -2.541
La Dy Tm
5 4 4
Direct
0.000 0.000 0.000
0.306 0.540 0.845
0.460 0.306 0.766
0.540 0.694 0.234
0.694 0.460 0.155
0.075 0.387 0.462
0.387 0.925 0.311
0.613 0.075 0.689
0.925 0.613 0.538
0.156 0.765 0.921
0.235 0.156 0.390
0.765 0.844 0.610
0.844 0.235 0.079
```

Principal peaks in the range 10° ≤ 2θ ≤ 90°, most intense first:
| 2theta | I (rel.) |
| --- | --- |
| 30.34 | 100 |
| 35.10 | 34 |
| 60.05 | 29 |
| 50.65 | 24 |
| 35.33 | 17 |
| 60.34 | 14 |
| 63.12 | 12 |
| 50.49 | 12 |
| 82.47 | 12 |
| 82.21 | 6 |

What is the formula in the second record?
Sr2FeSI

What is the formula in the second record?
Sr2FeSI